For Li5Ag, a structure optimized by DFT (PBE) gives the theoretical PXRD pattern in this record (Cu Ka).
Peak positions follow from Bragg's law for the DFT cell and can differ from measured ones.

Cell and atoms:
Cell: 6.9399 6.9399 4.5838 Å, 90.00 90.00 151.16°
Sites, in units of the cell vectors:
1 Li 0.0000 0.0000 0.0000
2 Li 0.1596 0.8404 0.5000
3 Li 0.3372 0.6628 0.0000
4 Li 0.6628 0.3372 0.0000
5 Li 0.8404 0.1596 0.5000
6 Ag 0.5000 0.5000 0.5000

Peak list (12 most intense, 15 to 90 degrees two-theta, by angle)
- 19.36 deg, I 64
- 23.49 deg, I 82
- 26.52 deg, I 29
- 26.63 deg, I 59
- 32.72 deg, I 35
- 33.11 deg, I 100
- 38.30 deg, I 74
- 41.63 deg, I 18
- 47.20 deg, I 25
- 48.09 deg, I 33
- 52.05 deg, I 18
- 58.54 deg, I 18